Theoretical X-ray diffraction stick pattern of KSm3O6 for Cu Kα (λ = 1.5418 Å), from a structure optimized by DFT (PBE).
Kinematic intensities with the Lorentz-polarization factor, no thermal factor.

Atomic structure:
```
data_KSm3O6
_chemical_formula_sum 'K2 Sm6 O12'
_cell_length_a 13.595
_cell_length_b 13.883
_cell_length_c 9.757
_cell_angle_alpha 90.00
_cell_angle_beta 90.00
_cell_angle_gamma 90.00
_symmetry_space_group_name_H-M 'C m m m'
_symmetry_Int_Tables_number 65
_symmetry_space_group_name_Hall '-C 2 2'
loop_
_atom_site_label
_atom_site_type_symbol
_atom_site_fract_x
_atom_site_fract_y
_atom_site_fract_z
K1 K 0.000 0.000 0.000
Sm1 Sm 0.000 0.000 0.500
Sm2 Sm 0.250 0.250 0.000
O1 O 0.000 0.000 0.293
O2 O 0.149 0.144 0.000
```

Top 6 peaks for 10 to 80 degrees two-theta, most intense first:
two_theta, Rel. int.
18.24, 1000
15.67, 618
15.89, 612
25.89, 436
30.34, 320
20.40, 254

---

Theoretical X-ray diffraction stick pattern of KSmTi4O12 for Cu Kα (λ = 1.5418 Å), from a structure optimized by DFT (PBE).
Kinematic intensities with the Lorentz-polarization factor, no thermal factor.

Atomic structure:
```
data_KSmTi4O12
_chemical_formula_sum 'K2 Sm2 Ti8 O24'
_cell_length_a 7.825
_cell_length_b 7.753
_cell_length_c 7.757
_cell_angle_alpha 90.00
_cell_angle_beta 90.00
_cell_angle_gamma 90.00
_symmetry_space_group_name_H-M 'A m m 2'
_symmetry_Int_Tables_number 38
_symmetry_space_group_name_Hall 'A 2 -2'
loop_
_atom_site_label
_atom_site_type_symbol
_atom_site_fract_x
_atom_site_fract_y
_atom_site_fract_z
K1 K 0.000 0.000 0.000
Sm1 Sm 0.500 0.000 0.516
Ti1 Ti 0.242 0.247 0.255
O1 O 0.000 0.242 0.254
O2 O 0.258 0.000 0.744
O3 O 0.271 0.243 0.503
O4 O 0.282 0.000 0.264
O5 O 0.500 0.230 0.745
```

Top 6 peaks for 10 to 80 degrees two-theta, most intense first:
two_theta, Rel. int.
19.77, 1000
32.51, 754
46.86, 411
32.66, 370
38.47, 342
11.31, 299

---

Theoretical X-ray diffraction stick pattern of KSmTiO4 for Cu Kα (λ = 1.5418 Å), from a structure optimized by DFT (PBE).
Kinematic intensities with the Lorentz-polarization factor, no thermal factor.

Atomic structure:
```
data_KSmTiO4
_chemical_formula_sum 'K2 Sm2 Ti2 O8'
_cell_length_a 6.043
_cell_length_b 6.070
_cell_length_c 7.477
_cell_angle_alpha 90.00
_cell_angle_beta 105.89
_cell_angle_gamma 90.00
_symmetry_space_group_name_H-M 'P 1 21/m 1'
_symmetry_Int_Tables_number 11
_symmetry_space_group_name_Hall '-P 2yb'
loop_
_atom_site_label
_atom_site_type_symbol
_atom_site_fract_x
_atom_site_fract_y
_atom_site_fract_z
K1 K 0.183 0.250 0.420
Sm1 Sm 0.308 0.250 0.951
Ti1 Ti 0.226 0.750 0.163
O1 O 0.022 0.750 0.304
O2 O 0.027 0.750 0.937
O3 O 0.435 0.522 0.174
```

Top 6 peaks for 10 to 80 degrees two-theta, most intense first:
two_theta, Rel. int.
12.31, 1000
29.40, 447
21.16, 345
37.12, 245
33.37, 244
28.86, 224